[1]
The following is a theoretical X-ray powder pattern of YSiNi. It was derived from a cell relaxed with PBE, using Cu Kα (λ = 1.5418 Å).
Lines closer than 0.1° are merged.

Top 10 peaks for 5 to 70 degrees two-theta, by angle:
2θ 24.76, I 13
2θ 27.99, I 12
2θ 35.52, I 36
2θ 36.11, I 100
2θ 39.87, I 10
2θ 41.27, I 18
2θ 43.61, I 57
2θ 57.86, I 16
2θ 59.51, I 11
2θ 61.56, I 10

Structural model:
Lattice parameters (Å, degrees): 6.890 4.155 7.180 90.00 90.00 90.00
Space group Pnma (No. 62)
Symmetry-distinct sites (fractional):
Y  0.008  0.250  0.201 [4 per cell]
Si  0.192  0.250  0.589 [4 per cell]
Ni  0.186  0.750  0.419 [4 per cell]

---

[2]
The following is a theoretical X-ray powder pattern of Na3Si17. It was derived from a cell relaxed with PBE, using Cu Kα (λ = 1.5418 Å).
Lines closer than 0.1° are merged.

Top 10 peaks for 5 to 70 degrees two-theta, by angle:
2θ 10.35, I 25
2θ 16.94, I 14
2θ 29.57, I 29
2θ 31.41, I 93
2θ 34.27, I 51
2θ 35.90, I 72
2θ 50.47, I 29
2θ 52.46, I 100
2θ 53.63, I 28
2θ 56.66, I 17

Structural model:
Lattice parameters (Å, degrees): 14.800 14.800 14.800 90.00 90.00 90.00
Space group Fd-3m (No. 227, origin choice 2)
Symmetry-distinct sites (fractional):
Na  0.000  0.000  0.000 [16 per cell]
Na  0.125  0.125  0.625 [8 per cell]
Si  0.032  0.032  0.218 [32 per cell]
Si  0.068  0.068  0.371 [96 per cell]
Si  0.125  0.125  0.125 [8 per cell]

---

[3]
The following is a theoretical X-ray powder pattern of Sm3Si2Pd2. It was derived from a cell relaxed with PBE, using Cu Kα (λ = 1.5418 Å).
Lines closer than 0.1° are merged.

Top 10 peaks for 5 to 70 degrees two-theta, by angle:
2θ 23.39, I 31
2θ 25.89, I 32
2θ 27.89, I 29
2θ 33.32, I 99
2θ 34.01, I 100
2θ 35.21, I 42
2θ 36.90, I 63
2θ 39.27, I 98
2θ 41.21, I 35
2θ 47.77, I 23

Structural model:
Lattice parameters (Å, degrees): 5.713 8.078 13.143 90.00 90.00 90.00
Space group Pbcm (No. 57)
Symmetry-distinct sites (fractional):
Sm  0.130  0.109  0.104 [8 per cell]
Sm  0.357  0.749  0.250 [4 per cell]
Si  0.148  0.103  0.750 [4 per cell]
Si  0.331  0.750  0.000 [4 per cell]
Pd  0.383  0.040  0.592 [8 per cell]

---

[4]
The following is a theoretical X-ray powder pattern of Ho5BiPd2. It was derived from a cell relaxed with PBE, using Cu Kα (λ = 1.5418 Å).
Lines closer than 0.1° are merged.

Top 10 peaks for 5 to 70 degrees two-theta, by angle:
2θ 30.58, I 34
2θ 32.23, I 100
2θ 32.49, I 15
2θ 34.74, I 37
2θ 36.45, I 71
2θ 41.76, I 14
2θ 52.50, I 12
2θ 56.78, I 18
2θ 66.14, I 20
2θ 67.89, I 17

Structural model:
Lattice parameters (Å, degrees): 7.795 7.795 13.793 90.00 90.00 90.00
Space group I4/mcm (No. 140)
Symmetry-distinct sites (fractional):
Ho  0.000  0.000  0.000 [4 per cell]
Ho  0.156  0.344  0.140 [16 per cell]
Bi  0.000  0.000  0.250 [4 per cell]
Pd  0.136  0.364  0.500 [8 per cell]

---

[5]
The following is a theoretical X-ray powder pattern of RbCr2S4. It was derived from a cell relaxed with PBE, using Cu Kα (λ = 1.5418 Å).
Lines closer than 0.1° are merged.

Top 10 peaks for 5 to 70 degrees two-theta, by angle:
2θ 14.04, I 17
2θ 23.03, I 78
2θ 27.08, I 100
2θ 32.80, I 22
2θ 40.46, I 18
2θ 43.03, I 87
2θ 47.07, I 72
2θ 55.14, I 21
2θ 63.77, I 22
2θ 65.66, I 18

Structural model:
Lattice parameters (Å, degrees): 10.922 10.922 10.922 90.00 90.00 90.00
Space group Fd-3m (No. 227, origin choice 2)
Symmetry-distinct sites (fractional):
Rb  0.125  0.125  0.125 [8 per cell]
Cr  0.000  0.000  0.500 [16 per cell]
S  0.028  0.028  0.722 [32 per cell]

---

[6]
The following is a theoretical X-ray powder pattern of Na2GeO10. It was derived from a cell relaxed with PBE, using Cu Kα (λ = 1.5418 Å).
Lines closer than 0.1° are merged.

Top 10 peaks for 5 to 70 degrees two-theta, by angle:
2θ 11.64, I 31
2θ 14.16, I 91
2θ 18.02, I 61
2θ 18.66, I 55
2θ 22.74, I 94
2θ 24.27, I 33
2θ 25.64, I 100
2θ 25.76, I 59
2θ 32.61, I 51
2θ 34.29, I 28

Structural model:
Lattice parameters (Å, degrees): 5.286 19.022 8.827 90.00 109.94 90.00
Space group P2_1/c (No. 14)
Symmetry-distinct sites (fractional):
Na  0.092  0.096  0.482 [4 per cell]
Na  0.298  0.230  0.207 [4 per cell]
Ge  0.265  0.601  0.648 [4 per cell]
O  0.048  0.699  0.938 [4 per cell]
O  0.067  0.618  0.318 [4 per cell]
O  0.110  0.100  0.892 [4 per cell]
O  0.212  0.516  0.874 [4 per cell]
O  0.223  0.157  0.974 [4 per cell]
O  0.237  0.576  0.426 [4 per cell]
O  0.316  0.709  0.996 [4 per cell]
O  0.323  0.511  0.757 [4 per cell]
O  0.450  0.655  0.087 [4 per cell]
O  0.478  0.664  0.745 [4 per cell]

---

[7]
The following is a theoretical X-ray powder pattern of Rb2AgCl3. It was derived from a cell relaxed with PBE, using Cu Kα (λ = 1.5418 Å).
Lines closer than 0.1° are merged.

Top 10 peaks for 5 to 70 degrees two-theta, by angle:
2θ 24.47, I 91
2θ 26.26, I 90
2θ 27.32, I 100
2θ 27.77, I 61
2θ 29.06, I 54
2θ 29.36, I 66
2θ 30.21, I 66
2θ 32.93, I 58
2θ 35.18, I 55
2θ 39.67, I 82

Structural model:
Lattice parameters (Å, degrees): 9.385 4.544 18.212 90.00 90.00 90.00
Space group Pnma (No. 62)
Symmetry-distinct sites (fractional):
Rb  0.078  0.250  0.213 [4 per cell]
Rb  0.239  0.250  0.957 [4 per cell]
Ag  0.123  0.250  0.631 [4 per cell]
Cl  0.005  0.250  0.402 [4 per cell]
Cl  0.124  0.750  0.073 [4 per cell]
Cl  0.183  0.250  0.772 [4 per cell]